Gd2Ni2Ge: theoretical X-ray diffraction stick pattern (λ = 1.5418 Å (Cu Kα)), based on a cell relaxed with GGA-PBE.

abc: 6.9296 6.9296 6.9296
angles: 121.47 80.34 130.22
Fractional positions:
Gd 0.1481 0.1635 0.3117
Gd 0.3519 0.6635 0.0154
Gd 0.6481 0.3365 0.9846
Gd 0.8519 0.8365 0.6883
Ni 0.1042 0.7341 0.8383
Ni 0.3958 0.2341 0.6299
Ni 0.6042 0.7659 0.3701
Ni 0.8958 0.2659 0.1617
Ge 0.2500 0.7500 0.5000
Ge 0.7500 0.2500 0.5000

Largest 10 diffraction maxima, by intensity, 15 to 90 degrees two-theta:
31.69°, I 1000; 40.84°, I 781; 26.28°, I 753; 46.33°, I 741; 30.65°, I 656; 28.51°, I 579; 39.68°, I 433; 57.87°, I 401; 34.54°, I 370; 43.38°, I 355